This entry pairs a crystal structure of RbCuNiO2 with its simulated X-ray powder pattern. Radiation: Cu Ka. Structure: a DFT-relaxed cell (GGA+U, Alexandria).
No peak broadening, texture or thermal motion is included.

Cell and atoms:
abc: 6.213 4.823 5.789
angles: 90.00 104.69 90.00
Sites, in units of the cell vectors:
Rb 0.000 0.249 0.250
Rb 0.000 0.751 0.750
Cu 0.500 0.000 0.000
Cu 0.500 0.000 0.500
Ni 0.500 0.460 0.750
Ni 0.500 0.540 0.250
O 0.322 0.313 0.971
O 0.322 0.687 0.471
O 0.678 0.313 0.529
O 0.678 0.687 0.029

Main lines, in order of falling intensity (2θ from 10° to 80°):
(2 0 0), 29.73 deg, rel. 1000
(1 2 0), 40.30 deg, rel. 887
(1 1 1), 30.67 deg, rel. 821
(1 0 0), 14.74 deg, rel. 565
(1 1 -2), 36.85 deg, rel. 430
(1 1 -1), 26.36 deg, rel. 400
(0 1 2), 37.13 deg, rel. 394
(0 1 1), 24.36 deg, rel. 344